Structure and calculated powder diffraction line list of Li2PmAg2Hg2 (a DFT-relaxed cell (GGA-PBE, Alexandria); Cu Kα, 1.54184 Å).
Neutral-atom scattering factors, no anomalous dispersion.

Structural model:
```
data_Li2PmAg2Hg2
_symmetry_space_group_name_H-M 'R -3 m'
_symmetry_Int_Tables_number 166
_symmetry_space_group_name_Hall '-R 3 2"'
_cell_length_a 4.7804
_cell_length_b 4.7804
_cell_length_c 22.4631
_cell_angle_alpha 90.00
_cell_angle_beta 90.00
_cell_angle_gamma 120.00
loop_
_atom_site_label
_atom_site_fract_x
_atom_site_fract_y
_atom_site_fract_z
_atom_site_occupancy
Li1 0.0000 0.0000 0.1446 1
Pm1 0.0000 0.0000 0.0000 1
Ag1 0.0000 0.0000 0.4347 1
Hg1 0.0000 0.0000 0.2640 1
```

Most intense lines, 2θ = 10–90°, by angle:
| (hkl) | d (Å) | I/Imax |
| --- | --- | --- |
| 0 0 3 | 7.488 | 23 |
| 0 0 6 | 3.744 | 24 |
| 1 0 4 | 3.332 | 98 |
| 1 0 7 | 2.536 | 71 |
| 1 1 0 | 2.390 | 100 |
| 1 1 6 | 2.015 | 27 |
| 0 2 4 | 1.942 | 22 |
| 0 2 7 | 1.739 | 23 |
| 2 1 4 | 1.507 | 20 |
| 2 1 7 | 1.406 | 22 |

Structure and calculated powder diffraction line list of PmPuHgPb (a DFT-relaxed cell (GGA-PBE, Alexandria); Cu Kα, 1.54184 Å).
Neutral-atom scattering factors, no anomalous dispersion.

Structural model:
```
data_PmPuHgPb
_symmetry_space_group_name_H-M 'P 4 m m'
_symmetry_Int_Tables_number 99
_symmetry_space_group_name_Hall 'P 4 -2'
_cell_length_a 3.5703
_cell_length_b 3.5703
_cell_length_c 8.7488
_cell_angle_alpha 90.00
_cell_angle_beta 90.00
_cell_angle_gamma 90.00
loop_
_atom_site_label
_atom_site_fract_x
_atom_site_fract_y
_atom_site_fract_z
_atom_site_occupancy
Pm1 0.0000 0.0000 0.0000 1
Pu1 0.0000 0.0000 0.5175 1
Hg1 0.5000 0.5000 0.7596 1
Pb1 0.5000 0.5000 0.2593 1
```

Most intense lines, 2θ = 10–90°, by angle:
| (hkl) | d (Å) | I/Imax |
| --- | --- | --- |
| 1 0 2 | 2.766 | 100 |
| 1 1 0 | 2.525 | 39 |
| 0 0 4 | 2.187 | 13 |
| 2 0 0 | 1.785 | 14 |
| 1 1 4 | 1.653 | 22 |
| 2 1 2 | 1.500 | 32 |
| 2 0 4 | 1.383 | 12 |
| 1 0 6 | 1.350 | 11 |
| 3 0 2 | 1.148 | 7 |
| 2 2 4 | 1.093 | 8 |

Structure and calculated powder diffraction line list of TmHf2Ga6 (a DFT-relaxed cell (GGA-PBE, Alexandria); Cu Kα, 1.54184 Å).
Neutral-atom scattering factors, no anomalous dispersion.

Structural model:
```
data_TmHf2Ga6
_symmetry_space_group_name_H-M 'I m m m'
_symmetry_Int_Tables_number 71
_symmetry_space_group_name_Hall '-I 2 2'
_cell_length_a 4.1269
_cell_length_b 6.6270
_cell_length_c 12.9665
_cell_angle_alpha 90.00
_cell_angle_beta 90.00
_cell_angle_gamma 90.00
loop_
_atom_site_label
_atom_site_fract_x
_atom_site_fract_y
_atom_site_fract_z
_atom_site_occupancy
Tm1 0.0000 0.0000 0.0000 1
Hf1 0.0000 0.5000 0.1185 1
Ga1 0.0000 0.1916 0.5000 1
Ga2 0.0000 0.2960 0.3095 1
```

Most intense lines, 2θ = 10–90°, by angle:
| (hkl) | d (Å) | I/Imax |
| --- | --- | --- |
| 0 1 3 | 3.620 | 21 |
| 1 1 2 | 3.082 | 28 |
| 1 2 1 | 2.534 | 100 |
| 0 1 5 | 2.415 | 27 |
| 1 1 4 | 2.379 | 67 |
| 1 0 5 | 2.196 | 26 |
| 2 0 0 | 2.063 | 32 |
| 0 3 3 | 1.967 | 32 |
| 2 1 5 | 1.569 | 14 |
| 2 3 3 | 1.424 | 22 |

Structure and calculated powder diffraction line list of RbSr2As2O6 (a DFT-relaxed cell (GGA-PBE, Alexandria); Cu Kα, 1.54184 Å).
Neutral-atom scattering factors, no anomalous dispersion.

Structural model:
```
data_RbSr2As2O6
_symmetry_space_group_name_H-M 'P -1'
_symmetry_Int_Tables_number 2
_symmetry_space_group_name_Hall '-P 1'
_cell_length_a 6.2199
_cell_length_b 6.7877
_cell_length_c 6.9379
_cell_angle_alpha 62.52
_cell_angle_beta 65.28
_cell_angle_gamma 84.58
loop_
_atom_site_label
_atom_site_fract_x
_atom_site_fract_y
_atom_site_fract_z
_atom_site_occupancy
Rb1 0.0000 0.0000 0.0000 1
Sr1 0.3263 0.2095 0.3055 1
As1 0.3553 0.6745 0.4001 1
O1 0.1026 0.8235 0.4195 1
O2 0.4459 0.1253 0.6407 1
O3 0.4466 0.6412 0.1400 1
```

Most intense lines, 2θ = 10–90°, by angle:
| (hkl) | d (Å) | I/Imax |
| --- | --- | --- |
| 0 0 1 | 5.589 | 87 |
| 1 1 2 | 3.419 | 61 |
| 1 0 -1 | 3.313 | 100 |
| 2 0 1 | 3.084 | 65 |
| 1 0 2 | 3.068 | 67 |
| 1 2 1 | 3.052 | 82 |
| 1 -2 0 | 2.784 | 85 |
| 0 2 -1 | 2.235 | 39 |
| 0 1 3 | 2.069 | 30 |
| -2 2 1 | 2.039 | 29 |

Structure and calculated powder diffraction line list of CaNbSiTePd (a DFT-relaxed cell (GGA-PBE, Alexandria); Cu Kα, 1.54184 Å).
Neutral-atom scattering factors, no anomalous dispersion.

Structural model:
```
data_CaNbSiTePd
_symmetry_space_group_name_H-M 'P 3 m 1'
_symmetry_Int_Tables_number 156
_symmetry_space_group_name_Hall 'P 3 -2"'
_cell_length_a 4.1304
_cell_length_b 4.1304
_cell_length_c 7.4873
_cell_angle_alpha 90.00
_cell_angle_beta 90.00
_cell_angle_gamma 120.00
loop_
_atom_site_label
_atom_site_fract_x
_atom_site_fract_y
_atom_site_fract_z
_atom_site_occupancy
Ca1 0.0000 0.0000 0.0000 1
Nb1 0.0000 0.0000 0.5220 1
Si1 0.3333 0.6667 0.7223 1
Te1 0.6667 0.3333 0.2933 1
Pd1 0.6667 0.3333 0.7263 1
```

Most intense lines, 2θ = 10–90°, by angle:
| (hkl) | d (Å) | I/Imax |
| --- | --- | --- |
| 0 0 1 | 7.487 | 30 |
| 1 0 0 | 3.577 | 40 |
| 0 1 2 | 2.586 | 100 |
| 1 1 0 | 2.065 | 44 |
| 1 0 3 | 2.047 | 16 |
| 2 0 2 | 1.614 | 23 |
| 1 1 4 | 1.387 | 14 |
| 1 2 2 | 1.272 | 20 |
| 1 1 5 | 1.212 | 8 |
| 3 0 0 | 1.192 | 7 |

Structure and calculated powder diffraction line list of PaMnNi2N4 (a DFT-relaxed cell (GGA-PBE, Alexandria); Cu Kα, 1.54184 Å).
Neutral-atom scattering factors, no anomalous dispersion.

Structural model:
```
data_PaMnNi2N4
_symmetry_space_group_name_H-M 'I -4 2 m'
_symmetry_Int_Tables_number 121
_symmetry_space_group_name_Hall 'I -4 2'
_cell_length_a 5.2023
_cell_length_b 5.2023
_cell_length_c 6.3554
_cell_angle_alpha 90.00
_cell_angle_beta 90.00
_cell_angle_gamma 90.00
loop_
_atom_site_label
_atom_site_fract_x
_atom_site_fract_y
_atom_site_fract_z
_atom_site_occupancy
Pa1 0.0000 0.0000 0.0000 1
Mn1 0.0000 0.0000 0.5000 1
Ni1 0.0000 0.5000 0.2500 1
N1 0.1944 0.1944 0.6827 1
```

Most intense lines, 2θ = 10–90°, by angle:
| (hkl) | d (Å) | I/Imax |
| --- | --- | --- |
| 1 0 1 | 4.026 | 56 |
| 1 1 0 | 3.679 | 22 |
| 2 0 0 | 2.601 | 51 |
| 1 1 2 | 2.405 | 100 |
| 2 1 1 | 2.185 | 29 |
| 2 0 2 | 2.013 | 11 |
| 1 0 3 | 1.962 | 12 |
| 2 2 0 | 1.839 | 25 |
| 3 1 2 | 1.461 | 43 |
| 2 0 4 | 1.356 | 16 |

Structure and calculated powder diffraction line list of La4PrDy4 (a DFT-relaxed cell (GGA-PBE, Alexandria); Cu Kα, 1.54184 Å).
Neutral-atom scattering factors, no anomalous dispersion.

Structural model:
```
data_La4PrDy4
_symmetry_space_group_name_H-M 'I 4/m m m'
_symmetry_Int_Tables_number 139
_symmetry_space_group_name_Hall '-I 4 2'
_cell_length_a 10.9455
_cell_length_b 10.9455
_cell_length_c 5.1857
_cell_angle_alpha 90.00
_cell_angle_beta 90.00
_cell_angle_gamma 90.00
loop_
_atom_site_label
_atom_site_fract_x
_atom_site_fract_y
_atom_site_fract_z
_atom_site_occupancy
La1 0.1678 0.1678 0.0000 1
Pr1 0.0000 0.0000 0.5000 1
Dy1 0.0000 0.3375 0.5000 1
```

Most intense lines, 2θ = 10–90°, by angle:
| (hkl) | d (Å) | I/Imax |
| --- | --- | --- |
| 3 0 1 | 2.984 | 100 |
| 0 0 2 | 2.593 | 17 |
| 3 3 0 | 2.580 | 34 |
| 3 3 2 | 1.829 | 24 |
| 6 0 0 | 1.824 | 12 |
| 3 0 3 | 1.562 | 15 |
| 6 3 1 | 1.556 | 29 |
| 6 0 2 | 1.492 | 12 |
| 6 3 3 | 1.187 | 12 |
| 9 0 1 | 1.184 | 6 |

Structure and calculated powder diffraction line list of In3Au2 (a DFT-relaxed cell (GGA-PBE, Alexandria); Cu Kα, 1.54184 Å).
Neutral-atom scattering factors, no anomalous dispersion.

Structural model:
```
data_In3Au2
_symmetry_space_group_name_H-M 'R -3 c'
_symmetry_Int_Tables_number 167
_symmetry_space_group_name_Hall '-R 3 2"c'
_cell_length_a 7.0283
_cell_length_b 7.0283
_cell_length_c 18.2205
_cell_angle_alpha 90.00
_cell_angle_beta 90.00
_cell_angle_gamma 120.00
loop_
_atom_site_label
_atom_site_fract_x
_atom_site_fract_y
_atom_site_fract_z
_atom_site_occupancy
In1 0.0000 0.3534 0.2500 1
Au1 0.0000 0.0000 0.1697 1
```

Most intense lines, 2θ = 10–90°, by angle:
| (hkl) | d (Å) | I/Imax |
| --- | --- | --- |
| 0 1 2 | 5.061 | 39 |
| 1 0 4 | 3.647 | 20 |
| 1 1 0 | 3.514 | 23 |
| 1 1 3 | 3.042 | 61 |
| 2 0 2 | 2.887 | 21 |
| 1 1 6 | 2.298 | 100 |
| 3 0 0 | 2.029 | 57 |
| 1 1 9 | 1.755 | 16 |
| 2 2 6 | 1.521 | 26 |
| 3 0 12 | 1.216 | 46 |

Structure and calculated powder diffraction line list of Ac2La2Sn3 (a DFT-relaxed cell (GGA-PBE, Alexandria); Cu Kα, 1.54184 Å).
Neutral-atom scattering factors, no anomalous dispersion.

Structural model:
```
data_Ac2La2Sn3
_symmetry_space_group_name_H-M 'C 1 2/m 1'
_symmetry_Int_Tables_number 12
_symmetry_space_group_name_Hall '-C 2y'
_cell_length_a 9.7740
_cell_length_b 5.6175
_cell_length_c 9.8992
_cell_angle_alpha 90.00
_cell_angle_beta 109.19
_cell_angle_gamma 90.00
loop_
_atom_site_label
_atom_site_fract_x
_atom_site_fract_y
_atom_site_fract_z
_atom_site_occupancy
Ac1 0.1204 0.0000 0.3620 1
La1 0.1318 0.5000 0.8958 1
Sn1 0.0000 0.0000 0.0000 1
Sn2 0.2435 0.0000 0.7307 1
```

Most intense lines, 2θ = 10–90°, by angle:
| (hkl) | d (Å) | I/Imax |
| --- | --- | --- |
| 1 1 0 | 4.804 | 23 |
| 1 1 1 | 4.003 | 26 |
| 2 0 2 | 2.846 | 100 |
| 3 1 -1 | 2.818 | 70 |
| 0 2 0 | 2.809 | 35 |
| 3 1 2 | 2.089 | 18 |
| 2 2 2 | 2.002 | 37 |
| 2 0 -6 | 1.650 | 16 |
| 4 2 -4 | 1.633 | 26 |
| 6 0 -2 | 1.629 | 20 |

Structure and calculated powder diffraction line list of DyTmPa2Rh4 (a DFT-relaxed cell (GGA-PBE, Alexandria); Cu Kα, 1.54184 Å).
Neutral-atom scattering factors, no anomalous dispersion.

Structural model:
```
data_DyTmPa2Rh4
_symmetry_space_group_name_H-M 'F m m 2'
_symmetry_Int_Tables_number 42
_symmetry_space_group_name_Hall 'F 2 -2'
_cell_length_a 7.6457
_cell_length_b 10.8515
_cell_length_c 8.2916
_cell_angle_alpha 90.00
_cell_angle_beta 90.00
_cell_angle_gamma 90.00
loop_
_atom_site_label
_atom_site_fract_x
_atom_site_fract_y
_atom_site_fract_z
_atom_site_occupancy
Dy1 0.0000 0.0000 0.0000 1
Tm1 0.0000 0.0000 0.4153 1
Pa1 0.2500 0.2500 0.2733 1
Rh1 0.0000 0.2343 0.5321 1
Rh2 0.1960 0.0000 0.7136 1
```

Most intense lines, 2θ = 10–90°, by angle:
| (hkl) | d (Å) | I/Imax |
| --- | --- | --- |
| 0 2 2 | 3.294 | 12 |
| 2 2 0 | 3.125 | 21 |
| 2 0 2 | 2.810 | 100 |
| 0 4 0 | 2.713 | 62 |
| 2 2 2 | 2.496 | 34 |
| 2 4 2 | 1.952 | 68 |
| 0 2 4 | 1.936 | 20 |
| 4 0 0 | 1.911 | 17 |
| 4 4 0 | 1.563 | 17 |
| 2 8 2 | 1.222 | 14 |

Structure and calculated powder diffraction line list of TlH2N (a DFT-relaxed cell (GGA-PBE, Alexandria); Cu Kα, 1.54184 Å).
Neutral-atom scattering factors, no anomalous dispersion.

Structural model:
```
data_TlH2N
_symmetry_space_group_name_H-M 'C 1 c 1'
_symmetry_Int_Tables_number 9
_symmetry_space_group_name_Hall 'C -2yc'
_cell_length_a 10.3108
_cell_length_b 3.9348
_cell_length_c 7.1948
_cell_angle_alpha 90.00
_cell_angle_beta 92.06
_cell_angle_gamma 90.00
loop_
_atom_site_label
_atom_site_fract_x
_atom_site_fract_y
_atom_site_fract_z
_atom_site_occupancy
Tl1 0.0000 0.2375 0.0000 1
H1 0.1924 0.3180 0.6998 1
H2 0.1946 0.3322 0.3164 1
N1 0.1316 0.4950 0.7555 1
```

Most intense lines, 2θ = 10–90°, by angle:
| (hkl) | d (Å) | I/Imax |
| --- | --- | --- |
| 2 0 0 | 5.152 | 100 |
| 0 0 2 | 3.595 | 37 |
| 1 1 -1 | 3.290 | 70 |
| 1 1 1 | 3.256 | 69 |
| 2 0 -2 | 2.999 | 29 |
| 2 0 2 | 2.900 | 27 |
| 3 1 -1 | 2.456 | 33 |
| 3 1 1 | 2.414 | 31 |
| 1 1 -3 | 2.020 | 19 |
| 1 1 3 | 1.996 | 18 |

Copy entry 1 word for word.
Structure and calculated powder diffraction line list of Li2PmAg2Hg2 (a DFT-relaxed cell (GGA-PBE, Alexandria); Cu Kα, 1.54184 Å).
Neutral-atom scattering factors, no anomalous dispersion.

Structural model:
```
data_Li2PmAg2Hg2
_symmetry_space_group_name_H-M 'R -3 m'
_symmetry_Int_Tables_number 166
_symmetry_space_group_name_Hall '-R 3 2"'
_cell_length_a 4.7804
_cell_length_b 4.7804
_cell_length_c 22.4631
_cell_angle_alpha 90.00
_cell_angle_beta 90.00
_cell_angle_gamma 120.00
loop_
_atom_site_label
_atom_site_fract_x
_atom_site_fract_y
_atom_site_fract_z
_atom_site_occupancy
Li1 0.0000 0.0000 0.1446 1
Pm1 0.0000 0.0000 0.0000 1
Ag1 0.0000 0.0000 0.4347 1
Hg1 0.0000 0.0000 0.2640 1
```

Most intense lines, 2θ = 10–90°, by angle:
| (hkl) | d (Å) | I/Imax |
| --- | --- | --- |
| 0 0 3 | 7.488 | 23 |
| 0 0 6 | 3.744 | 24 |
| 1 0 4 | 3.332 | 98 |
| 1 0 7 | 2.536 | 71 |
| 1 1 0 | 2.390 | 100 |
| 1 1 6 | 2.015 | 27 |
| 0 2 4 | 1.942 | 22 |
| 0 2 7 | 1.739 | 23 |
| 2 1 4 | 1.507 | 20 |
| 2 1 7 | 1.406 | 22 |